The following is a computed X-ray diffraction stick pattern of Tb3Nd4Sm5. It was derived from a DFT-relaxed cell (GGA-PBE, Alexandria), using Cu Kα, 1.54184 Å.
No peak broadening, texture or thermal motion is included.

Main lines, by angle (10 to 90 degrees two-theta):
| Position (°2θ) | Rel. int. |
| --- | --- |
| 30.16 | 100 |
| 34.97 | 51 |
| 50.29 | 36 |
| 59.73 | 29 |
| 59.83 | 14 |
| 62.70 | 9 |
| 81.75 | 7 |
| 81.84 | 9 |
| 84.33 | 7 |
| 84.43 | 5 |

Crystal structure
```
data_Tb3Nd4Sm5
_cell_length_a 6.2883
_cell_length_b 7.2524
_cell_length_c 8.8912
_cell_angle_alpha 90.04
_cell_angle_beta 90.10
_cell_angle_gamma 90.10
_space_group_name_H-M_alt 'P -1'
_space_group_IT_number 2
loop_
_space_group_symop_operation_xyz
'x,y,z'
'-x,-y,-z'
loop_
_atom_site_label
_atom_site_type_symbol
_atom_site_fract_x
_atom_site_fract_y
_atom_site_fract_z
Tb1 Tb 0.0000 0.0000 0.0000
Tb2 Tb 0.1667 0.7515 0.6680
Nd1 Nd 0.1657 0.2485 0.6676
Nd2 Nd 0.3338 0.4998 0.3327
Sm1 Sm 0.0000 0.5000 0.0000
Sm2 Sm 0.3329 0.0002 0.3328
Sm3 Sm 0.4984 0.7516 0.9997
```